(1)
Diffraction record for Pm2Cu5Pd5. The powder XRD pattern is theoretical, not measured: it uses a cell relaxed with PBE and Cu Kα.

Main lines, sorted by position (2θ from 10° to 90°):
(1 1 1), 2θ = 28.61°, d = 3.120 Å, rel. 22
(0 1 3), 2θ = 34.33°, d = 2.612 Å, rel. 28
(0 2 0), 2θ = 35.16°, d = 2.552 Å, rel. 18
(1 1 3), 2θ = 40.21°, d = 2.243 Å, rel. 100
(0 2 2), 2θ = 40.50°, d = 2.227 Å, rel. 16
(1 2 0), 2θ = 40.94°, d = 2.204 Å, rel. 40
(2 0 0), 2θ = 41.30°, d = 2.186 Å, rel. 40
(1 3 3), 2θ = 66.50°, d = 1.406 Å, rel. 22
(3 1 3), 2θ = 74.56°, d = 1.273 Å, rel. 16
(2 2 6), 2θ = 86.87°, d = 1.121 Å, rel. 17

Structural model:
```
Pm2Cu5Pd5
1.0
4.372 0.000 0.000
0.000 5.105 0.000
0.000 0.000 9.122
Pm Cu Pd
2 5 5
Cartesian
0.000 0.000 0.000 Pm
0.000 2.552 4.561 Pm
2.186 0.000 4.561 Cu
2.186 1.275 2.341 Cu
2.186 1.275 6.781 Cu
2.186 3.830 2.341 Cu
2.186 3.830 6.781 Cu
0.000 0.000 3.054 Pd
0.000 0.000 6.068 Pd
0.000 2.552 1.619 Pd
0.000 2.552 7.502 Pd
2.186 2.552 0.000 Pd
```



(2)
Diffraction record for GaNiHg. The powder XRD pattern is theoretical, not measured: it uses a cell relaxed with PBE and Cu Kα.

Main lines, sorted by position (2θ from 10° to 90°):
(0 1 0), 2θ = 22.06°, d = 4.029 Å, rel. 47
(0 1 1), 2θ = 29.06°, d = 3.073 Å, rel. 56
(1 0 0), 2θ = 31.84°, d = 2.811 Å, rel. 22
(1 0 1), 2θ = 37.17°, d = 2.419 Å, rel. 25
(0 0 2), 2θ = 37.88°, d = 2.375 Å, rel. 37
(1 1 1), 2θ = 43.64°, d = 2.074 Å, rel. 100
(0 2 0), 2θ = 45.00°, d = 2.015 Å, rel. 23
(0 2 2), 2θ = 60.23°, d = 1.536 Å, rel. 19
(1 1 3), 2θ = 72.40°, d = 1.305 Å, rel. 22
(1 3 1), 2θ = 82.07°, d = 1.174 Å, rel. 16

Structural model:
```
GaNiHg
1.0
2.811 0.000 0.000
0.000 4.029 0.000
0.000 0.000 4.751
Ga Ni Hg
1 1 1
Cartesian
0.000 0.000 0.000 Ga
1.405 2.015 0.000 Ni
0.000 2.015 2.375 Hg
```